Starting from the GGA-PBE geometry in the Materials Project, the powder X-ray diffraction pattern of Li3Mg5Bi3Pb was calculated for λ = 1.5418 Å (Cu Kα).

Top 10 peaks for 2θ from 5° to 70°, in order of rising 2θ:
2θ/deg, Rel. int., hkl
22.3, 100.0, 1 0 4
22.7, 32.1, 0 0 12
25.9, 46.7, 0 1 8
36.7, 39.5, 1 1 0
37.2, 38.1, 1 0 16
43.4, 18.3, 0 2 4
43.6, 36.1, 1 1 12
44.1, 17.5, 0 1 20
58.1, 15.7, 2 1 4
66.5, 14.3, 2 1 16

Structural model:
```
data_Li3Mg5Bi3Pb
_chemical_formula_sum 'Li9 Mg15 Bi9 Pb3'
_cell_length_a 4.8927
_cell_length_b 4.8927
_cell_length_c 47.0140
_cell_angle_alpha 90.00
_cell_angle_beta 90.00
_cell_angle_gamma 120.00
_space_group_name_H-M_alt 'R 3 m'
_space_group_IT_number 160
_space_group_name_Hall 'R 3 -2"'
loop_
_atom_site_label
_atom_site_fract_x
_atom_site_fract_y
_atom_site_fract_z
Li1 0.0000 0.0000 0.0000
Li2 0.0000 0.0000 0.2499
Li3 0.0000 0.0000 0.5000
Mg1 0.0000 0.0000 0.1246
Mg2 0.0000 0.0000 0.3750
Mg3 0.0000 0.0000 0.6253
Mg4 0.0000 0.0000 0.7495
Mg5 0.0000 0.0000 0.8755
Bi1 0.0000 0.0000 0.3126
Bi2 0.0000 0.0000 0.5625
Bi3 0.0000 0.0000 0.8132
Pb1 0.0000 0.0000 0.0627
```